Diffraction record for DyCr2O8. The powder XRD pattern is theoretical, not measured: it uses a structure optimized by DFT (PBE+U) and Cu Kα, 1.54184 Å.
No peak broadening, texture or thermal motion is included.

```
11
Lattice="-2.3448 2.3448 5.6931 2.3448 -2.3448 5.6931 2.3448 2.3448 -5.6931" Properties=species:S:1:pos:R:3 pbc="T T T"
Dy 0.0000 0.0000 0.0000
Cr 2.3448 0.0000 2.8465
Cr 0.0000 2.3448 2.8465
O 1.1715 1.1715 -1.6481
O 1.1733 -1.1733 4.0450
O 1.1715 1.1715 1.6481
O 1.1733 -1.1733 7.3411
O -1.1733 1.1733 4.0450
O 1.1733 1.1733 4.0450
O -1.1733 1.1733 7.3411
O 1.1733 1.1733 7.3411
```

Principal peaks in the range 2θ = 10–90°, sorted by position:
- 2θ 20.48, d = 4.336 Å, I 100
- 2θ 30.30, d = 2.950 Å, I 38
- 2θ 31.22, d = 2.865 Å, I 100
- 2θ 43.90, d = 2.063 Å, I 28
- 2θ 44.21, d = 2.048 Å, I 14
- 2θ 49.67, d = 1.836 Å, I 19
- 2θ 50.42, d = 1.810 Å, I 48
- 2θ 55.42, d = 1.658 Å, I 19
- 2θ 55.82, d = 1.647 Å, I 18
- 2θ 64.99, d = 1.435 Å, I 22